[1]
Computed X-ray powder pattern
Compound: La2MnRuO6
Radiation: copper Kα
Structure: a GGA+U-relaxed structure
No peak broadening, texture or thermal motion is included.

Structural model:
Lattice parameters (Å, degrees): 5.652 5.805 9.767 90.00 124.75 90.00
Fractional positions:
La (0.233, 0.061, 0.248)
La (0.233, 0.439, 0.748)
La (0.767, 0.561, 0.252)
La (0.767, 0.939, 0.752)
Mn (0.500, 0.000, 0.000)
Mn (0.500, 0.500, 0.500)
Ru (0.000, 0.000, 0.500)
Ru (0.000, 0.500, 0.000)
O (0.136, 0.210, 0.944)
O (0.136, 0.290, 0.444)
O (0.241, 0.695, 0.948)
O (0.241, 0.805, 0.448)
O (0.345, 0.028, 0.742)
O (0.345, 0.472, 0.242)
O (0.655, 0.528, 0.758)
O (0.655, 0.972, 0.258)
O (0.759, 0.195, 0.552)
O (0.759, 0.305, 0.052)
O (0.864, 0.710, 0.556)
O (0.864, 0.790, 0.056)

Most intense lines, 10° ≤ 2θ ≤ 90°, sorted by position:
| d/Å | 2theta | Rel. int. | h k l |
| --- | --- | --- | --- |
| 2.903 | 30.80 | 401 | 0 2 0 |
| 2.861 | 31.26 | 1000 | 1 1 1 |
| 2.840 | 31.51 | 989 | 1 1 -3 |
| 2.826 | 31.67 | 492 | 2 0 -2 |
| 2.025 | 44.76 | 411 | 2 2 -2 |
| 1.643 | 55.97 | 346 | 2 0 2 |

---

[2]
Computed X-ray powder pattern
Compound: SrLaMnRuO6
Radiation: copper Kα
Structure: a GGA+U-relaxed structure
No peak broadening, texture or thermal motion is included.

Structural model:
Lattice parameters (Å, degrees): 5.647 5.766 9.811 90.00 125.08 90.00
Fractional positions:
Sr (0.000, 0.212, 0.000)
Sr (0.000, 0.788, 0.500)
La (0.484, 0.301, 0.501)
La (0.484, 0.699, 0.001)
Mn (0.744, 0.243, 0.250)
Mn (0.744, 0.757, 0.750)
Ru (0.242, 0.248, 0.749)
Ru (0.242, 0.752, 0.249)
O (0.002, 0.454, 0.786)
O (0.002, 0.546, 0.286)
O (0.100, 0.040, 0.294)
O (0.100, 0.960, 0.794)
O (0.405, 0.475, 0.207)
O (0.405, 0.525, 0.707)
O (0.486, 0.056, 0.704)
O (0.486, 0.944, 0.204)
O (0.554, 0.278, 0.990)
O (0.554, 0.722, 0.490)
O (0.911, 0.232, 0.508)
O (0.911, 0.768, 0.008)

Most intense lines, 10° ≤ 2θ ≤ 90°, sorted by position:
| d/Å | 2theta | Rel. int. | h k l |
| --- | --- | --- | --- |
| 2.883 | 31.02 | 230 | 0 2 0 |
| 2.846 | 31.44 | 1000 | 1 1 1 |
| 2.823 | 31.69 | 249 | 2 0 -2 |
| 2.017 | 44.94 | 258 | 2 2 -2 |
| 2.007 | 45.17 | 152 | 0 0 4 |
| 1.635 | 56.25 | 223 | 2 0 2 |

---

[3]
Computed X-ray powder pattern
Compound: SrLaMnRuO6
Radiation: copper Kα
Structure: a GGA+U-relaxed structure
No peak broadening, texture or thermal motion is included.

Structural model:
Lattice parameters (Å, degrees): 5.607 5.660 5.660 60.49 61.42 61.36
Fractional positions:
Sr (0.000, 0.000, 0.000)
La (0.501, 0.499, 0.499)
Mn (0.253, 0.252, 0.250)
Ru (0.753, 0.754, 0.753)
O (0.080, 0.912, 0.524)
O (0.445, 0.581, 0.002)
O (0.516, 0.081, 0.912)
O (0.578, 0.008, 0.446)
O (0.912, 0.526, 0.079)
O (0.987, 0.453, 0.578)

Most intense lines, 10° ≤ 2θ ≤ 90°, sorted by position:
| d/Å | 2theta | Rel. int. | h k l |
| --- | --- | --- | --- |
| 2.875 | 31.11 | 967 | 1 0 -1 |
| 2.851 | 31.38 | 475 | 0 1 -1 |
| 2.829 | 31.63 | 1000 | 1 2 1 |
| 2.803 | 31.93 | 491 | 2 1 1 |
| 1.999 | 45.38 | 571 | 2 0 2 |
| 1.641 | 56.04 | 412 | 3 1 0 |